Cd2Co3HgO8: simulated powder XRD pattern (copper Kα), based on a DFT-relaxed cell (GGA+U, Alexandria).
Lines closer than 0.1° are merged.

Structural model:
Lattice parameters (Å, degrees): 6.065 6.106 6.311 118.04 90.09 118.92
Element x y z (fractional)
Cd: 0.000 0.000 0.000
Cd: 0.395 0.769 0.132
Co: 0.001 0.497 0.502
Co: 0.498 0.498 0.502
Co: 0.999 0.997 0.500
Hg: 0.608 0.241 0.891
O: 0.175 0.912 0.669
O: 0.257 0.507 0.709
O: 0.262 0.076 0.330
O: 0.271 0.492 0.291
O: 0.728 0.503 0.708
O: 0.735 0.916 0.667
O: 0.747 0.496 0.304
O: 0.821 0.079 0.328

Main lines, in order of rising 2θ (2θ = 5–70°):
2θ/deg  Rel. int.
28.89  44
29.27  45
29.46  44
33.04  100
33.52  36
33.89  57
34.00  41
34.18  85